No. 1
# Li3V4NiO12
Calculated powder diffractogram, Cu Ka. Input: a GGA+U-relaxed structure.
Peak positions follow from Bragg's law for the DFT cell and can differ from measured ones.

Structural model:
a = 5.016 Å, b = 5.390 Å, c = 7.355 Å
α = 95.39°, β = 90.11°, γ = 90.28°
Sites, in units of the cell vectors:
Li 0.000 0.000 0.000
Li 0.003 0.004 0.502
Li 0.506 0.504 0.506
V 0.006 0.444 0.287
V 0.497 0.934 0.775
V 0.505 0.949 0.287
V 0.995 0.429 0.780
Ni 0.506 0.519 0.992
O 0.135 0.388 0.063
O 0.193 0.701 0.369
O 0.194 0.082 0.747
O 0.314 0.202 0.367
O 0.328 0.593 0.755
O 0.381 0.885 0.063
O 0.621 0.892 0.553
O 0.685 0.201 0.872
O 0.693 0.573 0.243
O 0.808 0.704 0.875
O 0.813 0.080 0.248
O 0.889 0.385 0.549

Main lines, sorted by position (10° ≤ 2θ ≤ 80°):
- 24.3°, rel. 78.8
- 24.4°, rel. 39.8
- 33.4°, rel. 100.0
- 35.8°, rel. 34.5
- 41.1°, rel. 23.8
- 49.9°, rel. 31.6
- 54.6°, rel. 41.9
- 64.2°, rel. 25.6

No. 2
# Li2VNiO4
Calculated powder diffractogram, Cu Ka. Input: a GGA+U-relaxed structure.
Peak positions follow from Bragg's law for the DFT cell and can differ from measured ones.

Structural model:
a = 5.878 Å, b = 5.904 Å, c = 5.907 Å
α = 89.95°, β = 60.28°, γ = 60.28°
Sites, in units of the cell vectors:
Li 0.000 0.000 0.000
Li 0.000 0.000 0.500
Li 0.500 0.000 0.000
Li 0.500 0.500 0.000
V 0.000 0.500 0.500
V 0.500 0.500 0.500
Ni 0.000 0.500 0.000
Ni 0.500 0.000 0.500
O 0.005 0.274 0.724
O 0.025 0.733 0.731
O 0.488 0.271 0.269
O 0.492 0.263 0.738
O 0.508 0.737 0.262
O 0.512 0.729 0.731
O 0.975 0.267 0.269
O 0.995 0.726 0.276

Main lines, sorted by position (10° ≤ 2θ ≤ 80°):
- 18.3°, rel. 82.8
- 18.5°, rel. 100.0
- 35.4°, rel. 27.4
- 35.7°, rel. 25.5
- 43.2°, rel. 50.3
- 43.3°, rel. 97.8
- 62.8°, rel. 26.6
- 63.0°, rel. 26.3

No. 3
# Li3V2Ni2O8
Calculated powder diffractogram, Cu Ka. Input: a GGA+U-relaxed structure.
Peak positions follow from Bragg's law for the DFT cell and can differ from measured ones.

Structural model:
a = 5.900 Å, b = 5.900 Å, c = 5.897 Å
α = 119.81°, β = 119.81°, γ = 60.76°
Sites, in units of the cell vectors:
Li 0.000 0.000 0.000
Li 0.000 0.500 0.000
Li 0.500 0.000 0.000
V 0.500 0.500 0.000
V 0.500 0.500 0.500
Ni 0.000 0.500 0.500
Ni 0.500 0.000 0.500
O 0.271 0.271 0.278
O 0.275 0.275 0.768
O 0.277 0.721 0.235
O 0.279 0.723 0.765
O 0.721 0.277 0.235
O 0.723 0.279 0.765
O 0.725 0.725 0.232
O 0.729 0.729 0.722

Main lines, sorted by position (10° ≤ 2θ ≤ 80°):
- 18.3°, rel. 100.0
- 18.4°, rel. 99.9
- 35.4°, rel. 34.8
- 35.7°, rel. 29.3
- 43.1°, rel. 95.3
- 43.5°, rel. 44.9
- 62.8°, rel. 24.7
- 63.0°, rel. 37.3

No. 4
# Li4V5Ni3O16
Calculated powder diffractogram, Cu Ka. Input: a GGA+U-relaxed structure.
Peak positions follow from Bragg's law for the DFT cell and can differ from measured ones.

Structural model:
a = 5.894 Å, b = 5.895 Å, c = 9.542 Å
α = 89.54°, β = 89.89°, γ = 60.15°
Sites, in units of the cell vectors:
Li 0.000 0.000 0.000
Li 0.001 0.997 0.508
Li 0.325 0.334 0.098
Li 0.649 0.653 0.596
V 0.178 0.181 0.758
V 0.337 0.846 0.280
V 0.357 0.339 0.500
V 0.664 0.662 0.995
V 0.828 0.354 0.274
Ni 0.167 0.657 0.790
Ni 0.651 0.173 0.788
Ni 0.832 0.826 0.284
O 0.006 0.012 0.703
O 0.023 0.464 0.651
O 0.166 0.171 0.394
O 0.183 0.670 0.397
O 0.304 0.309 0.892
O 0.348 0.824 0.909
O 0.462 0.477 0.649
O 0.464 0.026 0.652
O 0.498 0.960 0.157
O 0.517 0.520 0.153
O 0.659 0.169 0.404
O 0.665 0.643 0.393
O 0.818 0.354 0.906
O 0.819 0.826 0.914
O 0.949 0.518 0.147
O 0.990 0.020 0.190

Main lines, sorted by position (10° ≤ 2θ ≤ 80°):
- 18.6°, rel. 100.0
- 19.7°, rel. 97.1
- 19.8°, rel. 54.5
- 35.8°, rel. 33.4
- 36.3°, rel. 33.2
- 36.4°, rel. 41.1
- 40.0°, rel. 34.4
- 63.1°, rel. 37.2

No. 5
# Li2VNiO4
Calculated powder diffractogram, Cu Ka. Input: a GGA+U-relaxed structure.
Peak positions follow from Bragg's law for the DFT cell and can differ from measured ones.

Structural model:
a = 5.074 Å, b = 2.977 Å, c = 5.106 Å
α = 90.00°, β = 108.61°, γ = 90.00°
Sites, in units of the cell vectors:
Li 0.000 0.000 0.000
Li 0.500 0.500 0.000
V 0.000 0.500 0.500
Ni 0.500 0.000 0.500
O 0.230 0.000 0.733
O 0.236 0.500 0.276
O 0.764 0.500 0.724
O 0.770 0.000 0.267

Main lines, sorted by position (10° ≤ 2θ ≤ 80°):
- 18.3°, rel. 100.0
- 35.5°, rel. 30.7
- 36.0°, rel. 13.0
- 37.2°, rel. 13.8
- 43.0°, rel. 55.6
- 43.8°, rel. 25.3
- 62.9°, rel. 14.3
- 63.2°, rel. 14.3

No. 6
# Li3V4NiO12
Calculated powder diffractogram, Cu Ka. Input: a GGA+U-relaxed structure.
Peak positions follow from Bragg's law for the DFT cell and can differ from measured ones.

Structural model:
a = 6.860 Å, b = 6.860 Å, c = 5.841 Å
α = 106.39°, β = 106.39°, γ = 82.25°
Sites, in units of the cell vectors:
Li 0.000 0.000 0.000
Li 0.332 0.668 0.000
Li 0.849 0.151 0.500
V 0.292 0.297 0.519
V 0.482 0.106 0.017
V 0.703 0.708 0.481
V 0.894 0.518 0.983
Ni 0.181 0.819 0.500
O 0.078 0.692 0.105
O 0.110 0.123 0.411
O 0.189 0.539 0.578
O 0.308 0.922 0.895
O 0.451 0.271 0.815
O 0.454 0.262 0.311
O 0.461 0.811 0.422
O 0.720 0.003 0.072
O 0.729 0.549 0.185
O 0.738 0.546 0.689
O 0.877 0.890 0.589
O 0.997 0.280 0.928

Main lines, sorted by position (10° ≤ 2θ ≤ 80°):
- 18.5°, rel. 24.8
- 19.7°, rel. 37.4
- 23.8°, rel. 26.1
- 25.7°, rel. 52.5
- 27.9°, rel. 100.0
- 29.7°, rel. 55.2
- 31.2°, rel. 26.2
- 33.1°, rel. 40.3

No. 7
# Li5V3Ni2O10
Calculated powder diffractogram, Cu Ka. Input: a GGA+U-relaxed structure.
Peak positions follow from Bragg's law for the DFT cell and can differ from measured ones.

Structural model:
a = 5.070 Å, b = 5.202 Å, c = 7.926 Å
α = 106.97°, β = 102.67°, γ = 100.62°
Sites, in units of the cell vectors:
Li 0.000 0.000 0.000
Li 0.119 0.214 0.730
Li 0.312 0.569 0.076
Li 0.688 0.431 0.924
Li 0.881 0.786 0.270
V 0.180 0.394 0.382
V 0.500 0.000 0.500
V 0.820 0.606 0.618
Ni 0.413 0.821 0.817
Ni 0.587 0.179 0.183
O 0.022 0.592 0.827
O 0.151 0.766 0.543
O 0.257 0.033 0.276
O 0.356 0.192 0.950
O 0.452 0.390 0.627
O 0.548 0.610 0.373
O 0.644 0.808 0.050
O 0.743 0.967 0.724
O 0.849 0.234 0.457
O 0.978 0.408 0.173

Main lines, sorted by position (10° ≤ 2θ ≤ 80°):
- 12.2°, rel. 44.0
- 18.3°, rel. 100.0
- 18.6°, rel. 36.3
- 22.5°, rel. 29.2
- 26.2°, rel. 22.8
- 41.7°, rel. 70.3
- 43.0°, rel. 62.2
- 43.9°, rel. 63.6

No. 8
# Li4V3Ni3W2O16
Calculated powder diffractogram, Cu Ka. Input: a GGA+U-relaxed structure.
Peak positions follow from Bragg's law for the DFT cell and can differ from measured ones.

Structural model:
a = 5.951 Å, b = 5.951 Å, c = 9.722 Å
α = 90.15°, β = 90.15°, γ = 60.52°
Sites, in units of the cell vectors:
Li 0.000 0.000 0.000
Li 0.003 0.003 0.497
Li 0.333 0.333 0.915
Li 0.664 0.664 0.414
V 0.176 0.176 0.234
V 0.345 0.837 0.728
V 0.837 0.345 0.728
Ni 0.169 0.660 0.222
Ni 0.660 0.169 0.222
Ni 0.830 0.830 0.722
W 0.341 0.341 0.500
W 0.667 0.667 0.000
O 0.002 0.002 0.812
O 0.010 0.010 0.308
O 0.039 0.469 0.362
O 0.176 0.660 0.598
O 0.178 0.178 0.602
O 0.317 0.317 0.120
O 0.347 0.831 0.101
O 0.469 0.039 0.362
O 0.478 0.478 0.361
O 0.516 0.960 0.861
O 0.520 0.520 0.863
O 0.659 0.659 0.616
O 0.660 0.176 0.598
O 0.829 0.829 0.096
O 0.831 0.347 0.101
O 0.960 0.516 0.861

Main lines, sorted by position (10° ≤ 2θ ≤ 80°):
- 19.4°, rel. 100.0
- 19.5°, rel. 51.2
- 25.1°, rel. 38.3
- 32.6°, rel. 45.1
- 35.2°, rel. 22.8
- 35.4°, rel. 44.8
- 35.9°, rel. 26.4
- 59.4°, rel. 20.1